[1]
Calculated X-ray powder pattern
Compound: LiVCrP2H2O10
Radiation: λ = 1.5418 Å (Cu Kα)
Structure: a crystal structure in the Materials Project, relaxed with GGA+U
Lines closer than 0.1° are merged.

Cell and atoms:
```
LiVCrP2H2O10
1.0
5.2035 0.0000 0.0000
-1.9691 7.0951 0.0000
-0.9748 -0.7547 14.4636
Li V Cr P H O
3 3 3 6 6 30
direct
0.0000 0.0000 0.0000 Li
0.1484 0.5959 0.2939 Li
0.4826 0.9286 0.6274 Li
0.0791 0.3040 0.6475 V
0.4025 0.6246 0.9794 V
0.7458 0.9707 0.3142 V
0.0745 0.2982 0.1470 Cr
0.4055 0.6288 0.4799 Cr
0.7412 0.9648 0.8138 Cr
0.1482 0.6995 0.7719 P
0.3339 0.2294 0.8555 P
0.4839 0.0265 0.1054 P
0.6648 0.5693 0.1887 P
0.8147 0.3649 0.4389 P
0.9977 0.9014 0.5223 P
0.1927 0.0644 0.2503 H
0.3048 0.8821 0.3852 H
0.5254 0.3958 0.5828 H
0.6392 0.2170 0.7191 H
0.8424 0.7124 0.9086 H
0.9560 0.5321 0.0443 H
0.0053 0.9492 0.4177 O
0.0158 0.5134 0.7119 O
0.0404 0.1207 0.2510 O
0.0502 0.1471 0.8859 O
0.0976 0.4479 0.4077 O
0.1080 0.4755 0.0434 O
0.1435 0.0786 0.5859 O
0.1486 0.6490 0.8763 O
0.1680 0.7625 0.5403 O
0.3159 0.1674 0.0887 O
0.3335 0.2797 0.7514 O
0.3365 0.8501 0.0418 O
0.3730 0.4520 0.5836 O
0.3768 0.4935 0.2160 O
0.4263 0.8028 0.3718 O
0.4324 0.7822 0.7420 O
0.4667 0.4159 0.9158 O
0.4796 0.9768 0.2098 O
0.5034 0.0931 0.8726 O
0.6486 0.5040 0.4232 O
0.6692 0.6189 0.0846 O
0.6802 0.1792 0.3786 O
0.7080 0.8269 0.5480 O
0.7211 0.7916 0.9220 O
0.7603 0.1377 0.7055 O
0.7724 0.1022 0.0786 O
0.8121 0.7461 0.2526 O
0.8176 0.3127 0.5428 O
0.8336 0.4290 0.2060 O
0.9792 0.8363 0.7554 O
```

Most intense lines, 2θ = 15–90°, low angle first:
2θ/deg	I_rel	(hkl)
17.98	49.1	0 1 2
18.34	71.4	1 0 -1
18.76	55.2	1 -1 0
25.69	32.1	1 1 1
26.21	31.2	0 2 1
26.43	63.0	1 1 -2
27.10	100.0	0 1 -4
29.35	78.6	-1 2 2
36.44	34.7	1 1 4
55.89	28.3	0 3 6

[2]
Calculated X-ray powder pattern
Compound: VCuP2O8
Radiation: λ = 1.5418 Å (Cu Kα)
Structure: a crystal structure in the Materials Project, relaxed with GGA+U
Lines closer than 0.1° are merged.

Cell and atoms:
```
VCuP2O8
1.0
4.8527 0.0000 0.0000
0.0000 5.9193 0.0000
-0.2746 0.0000 9.7909
V Cu P O
2 2 4 16
direct
0.0334 0.2500 0.2795 V
0.9666 0.7500 0.7205 V
0.4143 0.2500 0.7835 Cu
0.5857 0.7500 0.2165 Cu
0.0698 0.7500 0.4052 P
0.4087 0.7500 0.9014 P
0.5913 0.2500 0.0986 P
0.9302 0.2500 0.5948 P
0.1713 0.7500 0.5568 O
0.1952 0.5359 0.3332 O
0.1952 0.9641 0.3332 O
0.2436 0.2500 0.6058 O
0.2448 0.5549 0.8238 O
0.2448 0.9451 0.8238 O
0.2834 0.2500 0.1296 O
0.3582 0.7500 0.0529 O
0.6418 0.2500 0.9471 O
0.7166 0.7500 0.8704 O
0.7552 0.0549 0.1762 O
0.7552 0.4451 0.1762 O
0.7564 0.7500 0.3942 O
0.8048 0.0359 0.6668 O
0.8048 0.4641 0.6668 O
0.8287 0.2500 0.4432 O
```

Most intense lines, 2θ = 15–90°, low angle first:
2θ/deg	I_rel	(hkl)
18.12	77.3	0 0 2
20.20	100.0	1 0 -1
20.66	27.8	1 0 1
25.24	43.1	1 1 -1
25.61	42.7	1 1 1
29.68	23.8	1 1 -2
30.20	87.3	0 2 0
36.08	36.7	1 1 -3
36.60	32.2	1 2 -1
36.89	62.9	1 1 3

[3]
Calculated X-ray powder pattern
Compound: YReW2O8
Radiation: λ = 1.5418 Å (Cu Kα)
Structure: a crystal structure in the Materials Project, relaxed with GGA+U
Lines closer than 0.1° are merged.

Cell and atoms:
```
YReW2O8
1.0
5.4294 0.0000 0.0000
0.0000 5.8174 0.0000
-5.1367 0.0000 9.6887
Y Re W O
2 2 4 16
direct
0.0000 0.1636 0.2500 Y
0.0000 0.8364 0.7500 Y
0.5000 0.1586 0.7500 Re
0.5000 0.8414 0.2500 Re
0.2550 0.3477 0.0008 W
0.2550 0.6523 0.5008 W
0.7450 0.3477 0.4992 W
0.7450 0.6523 0.9992 W
0.2082 0.3885 0.6189 O
0.2082 0.6115 0.1189 O
0.2438 0.0915 0.1302 O
0.2438 0.9085 0.6302 O
0.2978 0.1458 0.8579 O
0.2978 0.8542 0.3579 O
0.3141 0.3851 0.3973 O
0.3141 0.6149 0.8973 O
0.6859 0.3851 0.1027 O
0.6859 0.6149 0.6027 O
0.7022 0.1458 0.6421 O
0.7022 0.8542 0.1421 O
0.7562 0.0915 0.3698 O
0.7562 0.9085 0.8698 O
0.7918 0.3885 0.8811 O
0.7918 0.6115 0.3811 O
```

Most intense lines, 2θ = 15–90°, low angle first:
2θ/deg	I_rel	(hkl)
23.90	80.5	0 1 2
28.77	100.0	1 1 1
29.41	93.6	1 1 -3
33.01	42.3	2 0 -2
35.00	59.9	1 2 -1
37.12	24.7	0 0 4
50.71	31.5	0 3 2
51.54	30.0	1 2 3
52.33	29.8	1 2 -5
61.50	29.2	2 3 0